[1]
Structure and theoretical X-ray diffraction stick pattern of NbZnIn (DFT lattice parameters and positions (PBE); CuKα).
Intensities are scaled so that the largest is 100.

Top 10 peaks for 2θ = 5–70°, in order of rising 2θ:
- 2θ = 13.81°, 6.414 Å, intensity 3
- 2θ = 27.82°, 3.207 Å, intensity 3
- 2θ = 31.05°, 2.880 Å, intensity 4
- 2θ = 36.97°, 2.431 Å, intensity 100
- 2θ = 42.27°, 2.138 Å, intensity 16
- 2θ = 43.29°, 2.090 Å, intensity 32
- 2θ = 52.24°, 1.751 Å, intensity 2
- 2θ = 59.34°, 1.557 Å, intensity 3
- 2θ = 62.11°, 1.495 Å, intensity 20
- 2θ = 62.89°, 1.478 Å, intensity 10

Structure:
Unit cell a=2.956 b=2.956 c=12.827 alpha=90.00 beta=90.00 gamma=90.00
Space group I4mm (No. 107)
Symmetry-distinct sites (fractional):
Nb (0.000, 0.000, 0.000)
Zn (0.000, 0.000, 0.350)
In (0.000, 0.000, 0.675)


[2]
Structure and theoretical X-ray diffraction stick pattern of Nd3In4 (DFT lattice parameters and positions (PBE); CuKα).
Intensities are scaled so that the largest is 100.

Top 10 peaks for 2θ = 5–70°, in order of rising 2θ:
- 2θ = 30.67°, 2.915 Å, intensity 100
- 2θ = 31.27°, 2.860 Å, intensity 48
- 2θ = 34.02°, 2.635 Å, intensity 15
- 2θ = 34.62°, 2.591 Å, intensity 70
- 2θ = 36.62°, 2.454 Å, intensity 37
- 2θ = 39.04°, 2.307 Å, intensity 17
- 2θ = 47.19°, 1.926 Å, intensity 18
- 2θ = 48.90°, 1.863 Å, intensity 27
- 2θ = 59.84°, 1.546 Å, intensity 28
- 2θ = 61.17°, 1.515 Å, intensity 16

Structure:
Unit cell a=3.852 b=4.908 c=21.355 alpha=90.00 beta=90.00 gamma=90.00
Space group Immm (No. 71)
Symmetry-distinct sites (fractional):
Nd (0.000, 0.000, 0.000)
Nd (0.000, 0.500, 0.196)
In (0.000, 0.000, 0.433)
In (0.000, 0.500, 0.355)


[3]
Structure and theoretical X-ray diffraction stick pattern of Nd3In2 (DFT lattice parameters and positions (PBE); CuKα).
Intensities are scaled so that the largest is 100.

Top 10 peaks for 2θ = 5–70°, in order of rising 2θ:
- 2θ = 28.56°, 3.125 Å, intensity 84
- 2θ = 32.90°, 2.722 Å, intensity 100
- 2θ = 34.39°, 2.608 Å, intensity 33
- 2θ = 44.11°, 2.053 Å, intensity 32
- 2θ = 48.33°, 1.883 Å, intensity 13
- 2θ = 55.49°, 1.656 Å, intensity 18
- 2θ = 56.11°, 1.639 Å, intensity 24
- 2θ = 58.74°, 1.572 Å, intensity 19
- 2θ = 59.71°, 1.549 Å, intensity 13
- 2θ = 68.99°, 1.361 Å, intensity 11

Structure:
Unit cell a=12.518 b=5.443 c=9.434 alpha=90.00 beta=90.00 gamma=90.00
Space group Pnma (No. 62)
Symmetry-distinct sites (fractional):
Nd (0.085, 0.250, 0.086)
Nd (0.090, 0.750, 0.581)
Nd (0.250, 0.250, 0.751)
In (0.000, 0.250, 0.749)
In (0.241, 0.750, 0.918)


[4]
Structure and theoretical X-ray diffraction stick pattern of Nd6InNi2 (DFT lattice parameters and positions (PBE); CuKα).
Intensities are scaled so that the largest is 100.

Top 10 peaks for 2θ = 5–70°, in order of rising 2θ:
- 2θ = 27.64°, 3.227 Å, intensity 17
- 2θ = 29.56°, 3.022 Å, intensity 30
- 2θ = 30.86°, 2.898 Å, intensity 100
- 2θ = 32.80°, 2.731 Å, intensity 59
- 2θ = 32.92°, 2.721 Å, intensity 37
- 2θ = 33.58°, 2.669 Å, intensity 32
- 2θ = 34.45°, 2.603 Å, intensity 22
- 2θ = 37.92°, 2.373 Å, intensity 17
- 2θ = 53.56°, 1.711 Å, intensity 17
- 2θ = 58.39°, 1.580 Å, intensity 33

Structure:
Unit cell a=9.492 b=10.170 c=10.540 alpha=90.00 beta=90.00 gamma=90.00
Space group Immm (No. 71)
Symmetry-distinct sites (fractional):
Nd (0.000, 0.202, 0.230)
Nd (0.191, 0.500, 0.178)
Nd (0.206, 0.316, 0.500)
In (0.000, 0.000, 0.000)
In (0.000, 0.000, 0.500)
Ni (0.000, 0.360, 0.000)
Ni (0.000, 0.500, 0.381)


[5]
Structure and theoretical X-ray diffraction stick pattern of Nd2InNi9 (DFT lattice parameters and positions (PBE); CuKα).
Intensities are scaled so that the largest is 100.

Top 10 peaks for 2θ = 5–70°, in order of rising 2θ:
- 2θ = 32.80°, 2.731 Å, intensity 50
- 2θ = 35.76°, 2.511 Å, intensity 53
- 2θ = 36.20°, 2.481 Å, intensity 57
- 2θ = 42.21°, 2.141 Å, intensity 47
- 2θ = 42.51°, 2.126 Å, intensity 100
- 2θ = 45.50°, 1.994 Å, intensity 22
- 2θ = 46.04°, 1.971 Å, intensity 27
- 2θ = 64.83°, 1.438 Å, intensity 18
- 2θ = 68.25°, 1.374 Å, intensity 16
- 2θ = 69.45°, 1.353 Å, intensity 22

Structure:
Unit cell a=4.9627 b=4.9627 c=24.7524 alpha=90.00 beta=90.00 gamma=120.00
Space group R-3m (No. 166, hexagonal axes)
Symmetry-distinct sites (fractional):
Nd (0.0000, 0.0000, 0.1355)
In (0.0000, 0.0000, 0.0000)
Ni (0.0000, 0.0000, 0.3328)
Ni (0.0000, 0.0000, 0.5000)
Ni (0.0004, 0.5002, 0.0802)


[6]
Structure and theoretical X-ray diffraction stick pattern of Nd5In11Ni6 (DFT lattice parameters and positions (PBE); CuKα).
Intensities are scaled so that the largest is 100.

Top 10 peaks for 2θ = 5–70°, in order of rising 2θ:
- 2θ = 31.61°, 2.830 Å, intensity 23
- 2θ = 32.81°, 2.729 Å, intensity 100
- 2θ = 33.95°, 2.640 Å, intensity 31
- 2θ = 36.71°, 2.448 Å, intensity 21
- 2θ = 37.24°, 2.415 Å, intensity 17
- 2θ = 40.77°, 2.213 Å, intensity 35
- 2θ = 41.19°, 2.192 Å, intensity 14
- 2θ = 43.47°, 2.082 Å, intensity 15
- 2θ = 56.01°, 1.642 Å, intensity 13
- 2θ = 63.66°, 1.462 Å, intensity 17

Structure:
Unit cell a=14.688 b=14.729 c=4.426 alpha=90.00 beta=90.00 gamma=90.00
Space group Cmmm (No. 65)
Symmetry-distinct sites (fractional):
Nd (0.000, 0.000, 0.000)
Nd (0.173, 0.363, 0.500)
In (0.000, 0.194, 0.500)
In (0.000, 0.340, 0.000)
In (0.000, 0.500, 0.500)
In (0.157, 0.193, 0.000)
In (0.225, 0.000, 0.000)
Ni (0.094, 0.500, 0.000)
Ni (0.138, 0.083, 0.500)


[7]
Structure and theoretical X-ray diffraction stick pattern of Nd3In5Ni2 (DFT lattice parameters and positions (PBE); CuKα).
Intensities are scaled so that the largest is 100.

Top 10 peaks for 2θ = 5–70°, in order of rising 2θ:
- 2θ = 28.01°, 3.185 Å, intensity 34
- 2θ = 31.85°, 2.810 Å, intensity 32
- 2θ = 34.19°, 2.622 Å, intensity 100
- 2θ = 35.83°, 2.506 Å, intensity 38
- 2θ = 37.46°, 2.401 Å, intensity 29
- 2θ = 38.98°, 2.311 Å, intensity 24
- 2θ = 41.07°, 2.198 Å, intensity 31
- 2θ = 55.62°, 1.652 Å, intensity 21
- 2θ = 57.47°, 1.604 Å, intensity 13
- 2θ = 57.91°, 1.593 Å, intensity 15

Structure:
Unit cell a=10.333 b=10.333 c=4.396 alpha=90.00 beta=90.00 gamma=90.00
Space group P4/mbm (No. 127)
Symmetry-distinct sites (fractional):
Nd (0.000, 0.000, 0.000)
Nd (0.172, 0.328, 0.000)
In (0.000, 0.500, 0.500)
In (0.067, 0.780, 0.500)
Ni (0.127, 0.627, 0.000)


[8]
Structure and theoretical X-ray diffraction stick pattern of Nd3InNi (DFT lattice parameters and positions (PBE); CuKα).
Intensities are scaled so that the largest is 100.

Top 10 peaks for 2θ = 5–70°, in order of rising 2θ:
- 2θ = 27.92°, 3.196 Å, intensity 61
- 2θ = 28.33°, 3.150 Å, intensity 87
- 2θ = 28.77°, 3.103 Å, intensity 87
- 2θ = 30.97°, 2.888 Å, intensity 100
- 2θ = 32.15°, 2.785 Å, intensity 41
- 2θ = 36.78°, 2.443 Å, intensity 19
- 2θ = 38.44°, 2.342 Å, intensity 22
- 2θ = 38.89°, 2.316 Å, intensity 32
- 2θ = 39.91°, 2.259 Å, intensity 34
- 2θ = 48.35°, 1.883 Å, intensity 27

Structure:
Unit cell a=10.098 b=6.705 c=9.634 alpha=90.00 beta=113.28 gamma=90.00
Space group P2_1/c (No. 14)
Symmetry-distinct sites (fractional):
Nd (0.080, 0.070, 0.359)
Nd (0.196, 0.580, 0.547)
Nd (0.392, 0.100, 0.773)
In (0.400, 0.655, 0.917)
Ni (0.098, 0.228, 0.623)


Q: What is the formula in the seventh record?
A: Nd3In5Ni2